The following is a theoretical powder XRD pattern of VO3. It was derived from the PBE+U geometry in Alexandria, using CuKα.
Peak positions follow from Bragg's law for the DFT cell and can differ from measured ones.

Atomic structure:
```
data_VO3
_chemical_formula_sum 'V8 O24'
_cell_length_a 11.719
_cell_length_b 3.670
_cell_length_c 11.620
_cell_angle_alpha 90.00
_cell_angle_beta 94.21
_cell_angle_gamma 90.00
_space_group_name_H-M_alt 'C 1 2/m 1'
_space_group_IT_number 12
loop_
_space_group_symop_operation_xyz
'x,y,z'
'-x,-y,-z'
'-x,y,-z'
'x,-y,z'
'x+1/2,y+1/2,z'
'-x+1/2,-y+1/2,-z'
'-x+1/2,y+1/2,-z'
'x+1/2,-y+1/2,z'
loop_
_atom_site_label
_atom_site_type_symbol
_atom_site_fract_x
_atom_site_fract_y
_atom_site_fract_z
V1 V 0.076 0.000 0.143
V2 V 0.215 0.000 0.853
O1 O 0.052 0.500 0.514
O2 O 0.071 0.000 0.280
O3 O 0.074 0.000 0.912
O4 O 0.113 0.500 0.115
O5 O 0.190 0.000 0.716
O6 O 0.247 0.000 0.111
```

The 10 most intense peaks (10 to 80 degrees two-theta), sorted by position:
h k l  d/Å  intensity
2 0 1  5.070  34.9
0 0 3  3.863  100.0
1 1 0  3.502  52.3
1 1 1  3.332  72.0
1 1 -2  3.027  38.4
0 0 4  2.897  31.5
4 0 -1  2.884  33.8
4 0 1  2.785  28.8
3 1 -1  2.632  30.0
0 2 0  1.835  34.2